Theoretical XRD peak list of LiMnSb for copper Kα, from a crystal structure in the Materials Project, relaxed with PBE.
No peak broadening, texture or thermal motion is included.

Cell and atoms:
Lattice parameters (Å, degrees): 4.4939 4.4939 6.6132 90.00 90.00 90.00
Space group P4/nmm (No. 129, origin choice 2)
Inequivalent atoms, fractional coordinates:
Li1 0.2500 0.7500 0.0000 [2 per cell]
Mn1 0.2500 0.7500 0.5000 [2 per cell]
Sb1 0.2500 0.2500 0.2632 [2 per cell]

Principal peaks in the range 10° ≤ 2θ ≤ 90°, sorted by position:
h k l, 2θ/deg, I/Imax
0 0 1, 13.4, 258
1 0 1, 23.9, 1000
1 1 0, 28.1, 80
1 1 2, 39.3, 603
2 0 0, 40.1, 289
1 0 3, 45.9, 164
2 1 1, 47.3, 316
2 2 0, 58.1, 94
2 1 3, 62.5, 127
2 0 4, 70.7, 94
3 1 2, 72.4, 186
3 2 1, 78.0, 71